1.
Structure and calculated X-ray diffraction stick pattern of Tb2S3 (a DFT-relaxed cell (GGA-PBE, the Materials Project); Cu Kα, 1.54184 Å).
No peak broadening, texture or thermal motion is included.

Crystal structure
Cell lengths 7.3203, 3.9125, 15.2447 Å; angles 90.00, 90.00, 90.00 degrees
Space group Pnma (No. 62)
Unique sites:
Tb 0.1419 0.2500 0.2042 x4
Tb 0.2333 0.7500 0.4566 x4
S 0.0090 0.2500 0.3914 x4
S 0.1243 0.7500 0.0671 x4
S 0.1487 0.2500 0.7815 x4

Most intense lines, 2θ from 5° to 70°, most intense first:
26.48 deg, intensity 100, hkl 1 1 1; 26.36 deg, intensity 78, hkl 1 0 4; 35.59 deg, intensity 71, hkl 2 1 2; 28.80 deg, intensity 53, hkl 0 1 3; 39.44 deg, intensity 44, hkl 1 1 5; 25.02 deg, intensity 41, hkl 2 0 1; 38.04 deg, intensity 33, hkl 2 1 3; 46.42 deg, intensity 33, hkl 0 2 0; 49.46 deg, intensity 32, hkl 1 0 8; 24.32 deg, intensity 29, hkl 2 0 0

---

2.
Structure and calculated X-ray diffraction stick pattern of BaSrCeTiO6 (a DFT-relaxed cell (GGA-PBE, the Materials Project); Cu Kα, 1.54184 Å).
No peak broadening, texture or thermal motion is included.

Crystal structure
Cell lengths 8.4291, 8.4291, 8.4291 Å; angles 90.00, 90.00, 90.00 degrees
Space group F-43m (No. 216)
Unique sites:
Ba 0.0000 0.0000 0.0000 x4
Sr 0.0000 0.0000 0.5000 x4
Ce 0.2500 0.2500 0.7500 x4
Ti 0.2500 0.2500 0.2500 x4
O 0.0145 0.2500 0.2500 x24

Most intense lines, 2θ from 5° to 70°, most intense first:
29.98 deg, intensity 100, hkl 2 2 0; 53.24 deg, intensity 40, hkl 4 2 2; 42.92 deg, intensity 33, hkl 4 0 0; 62.31 deg, intensity 20, hkl 4 4 0; 18.23 deg, intensity 13, hkl 1 1 1; 35.32 deg, intensity 10, hkl 3 1 1; 46.99 deg, intensity 5, hkl 3 3 1; 36.94 deg, intensity 5, hkl 2 2 2; 56.75 deg, intensity 3, hkl 3 3 3; 65.51 deg, intensity 3, hkl 5 3 1

---

3.
Structure and calculated X-ray diffraction stick pattern of Na2MgCu2TeO6 (a DFT-relaxed cell (GGA-PBE, the Materials Project); Cu Kα, 1.54184 Å).
No peak broadening, texture or thermal motion is included.

Crystal structure
Cell lengths 5.5622, 5.8996, 6.0572 Å; angles 110.49, 111.60, 98.22 degrees
Space group P-1 (No. 2)
Unique sites:
Na 0.1816 0.3429 0.3616 x2
Mg 0.5000 0.0000 0.0000 x1
Cu 0.1286 0.7744 0.2207 x2
Te 0.5000 0.5000 0.0000 x1
O 0.2111 0.1793 0.8964 x2
O 0.2602 0.6372 0.7934 x2
O 0.4438 0.6856 0.3103 x2

Most intense lines, 2θ from 5° to 70°, most intense first:
18.26 deg, intensity 100, hkl 0 1 -1; 17.51 deg, intensity 86, hkl 0 0 1; 37.27 deg, intensity 65, hkl 1 2 -1; 31.62 deg, intensity 55, hkl 1 0 -2; 16.89 deg, intensity 52, hkl 0 1 0; 32.55 deg, intensity 46, hkl 2 0 -1; 46.27 deg, intensity 37, hkl 2 -2 1; 30.53 deg, intensity 36, hkl 1 0 1; 33.30 deg, intensity 34, hkl 1 -2 0; 40.63 deg, intensity 33, hkl -1 1 2

---

4.
Structure and calculated X-ray diffraction stick pattern of Y4Si2NO8 (a DFT-relaxed cell (GGA-PBE, the Materials Project); Cu Kα, 1.54184 Å).
No peak broadening, texture or thermal motion is included.

Crystal structure
Cell lengths 7.7071, 10.4806, 10.8656 Å; angles 90.00, 109.56, 90.00 degrees
Space group P2_1/c (No. 14)
Unique sites:
Y 0.0176 0.1039 0.2805 x4
Y 0.1686 0.6191 0.5668 x4
Y 0.3409 0.1216 0.9224 x4
Y 0.4763 0.5825 0.1876 x4
Si 0.1493 0.1828 0.6208 x4
Si 0.2654 0.6874 0.8683 x4
N 0.0633 0.7331 0.8870 x4
O 0.0695 0.0234 0.8966 x4
O 0.1669 0.2116 0.4768 x4
O 0.1998 0.0338 0.6728 x4
O 0.2671 0.5383 0.8193 x4
O 0.2737 0.7256 0.2404 x4
O 0.2847 0.2281 0.2431 x4
O 0.4225 0.7263 0.0086 x4
O 0.4298 0.0002 0.1099 x4

Most intense lines, 2θ from 5° to 70°, most intense first:
28.76 deg, intensity 100, hkl 2 2 -1; 31.28 deg, intensity 53, hkl 0 2 3; 30.99 deg, intensity 27, hkl 0 3 2; 27.49 deg, intensity 21, hkl 0 1 3; 12.08 deg, intensity 20, hkl 0 1 1; 47.18 deg, intensity 19, hkl 4 0 -2; 49.57 deg, intensity 15, hkl 2 4 2; 50.14 deg, intensity 13, hkl 2 4 -4; 57.18 deg, intensity 13, hkl 4 2 1; 19.30 deg, intensity 12, hkl 0 1 2